# MnNi4Rh2
Simulated powder XRD pattern, Cu Kα X-rays. Input: the PBE geometry in Alexandria.
No peak broadening, texture or thermal motion is included.

Structural model:
abc: 4.538 4.538 9.394
angles: 90.00 90.00 90.00
Space group I4/mmm (No. 139)
One atom of each set of equivalent atoms:
1 Mn 0.000 0.000 0.000 x2
2 Ni 0.000 0.500 0.000 x4
3 Ni 0.000 0.500 0.250 x4
4 Rh 0.000 0.000 0.361 x4

The 12 most intense peaks (15 to 90 degrees two-theta), low angle first:
2θ/deg, d [Å], I (rel.)
21.75, 4.086, 22
34.81, 2.577, 59
39.73, 2.269, 100
45.74, 1.984, 6
48.01, 1.895, 67
52.73, 1.736, 5
53.83, 1.703, 33
57.44, 1.604, 32
68.94, 1.362, 8
78.04, 1.225, 30
82.62, 1.168, 9
85.62, 1.134, 10

=====

# MnNi5Rh
Simulated powder XRD pattern, Cu Kα X-rays. Input: the PBE geometry in Alexandria.
No peak broadening, texture or thermal motion is included.

Structural model:
abc: 4.911 7.052 5.013
angles: 90.00 90.00 90.00
Space group Cmmm (No. 65)
One atom of each set of equivalent atoms:
1 Mn 0.000 0.000 0.000 x2
2 Ni 0.000 0.500 0.000 x2
3 Ni 0.250 0.250 0.247 x8
4 Rh 0.000 0.500 0.500 x2

The 12 most intense peaks (15 to 90 degrees two-theta), low angle first:
2θ/deg, d [Å], I (rel.)
22.06, 4.030, 36
28.42, 3.141, 27
42.47, 2.128, 13
42.64, 2.120, 6
44.34, 2.043, 100
44.99, 2.015, 96
46.50, 1.953, 7
51.86, 1.763, 31
52.14, 1.754, 60
75.92, 1.253, 9
76.63, 1.243, 36
77.79, 1.228, 9

=====

# Mn2NiRh9
Simulated powder XRD pattern, Cu Kα X-rays. Input: the PBE geometry in Alexandria.
No peak broadening, texture or thermal motion is included.

Structural model:
abc: 3.805 3.805 11.414
angles: 90.00 90.00 90.00
Space group P4/mmm (No. 123)
One atom of each set of equivalent atoms:
1 Mn 0.000 0.000 0.168 x2
2 Ni 0.000 0.000 0.500 x1
3 Rh 0.000 0.500 0.000 x2
4 Rh 0.000 0.500 0.334 x4
5 Rh 0.500 0.500 0.167 x2
6 Rh 0.500 0.500 0.500 x1

The 11 most intense peaks (15 to 90 degrees two-theta), low angle first:
2θ/deg, d [Å], I (rel.)
23.38, 3.805, 5
33.30, 2.690, 4
41.09, 2.197, 100
47.81, 1.902, 48
53.88, 1.702, 2
59.51, 1.553, 2
69.93, 1.345, 30
74.87, 1.268, 1
79.69, 1.203, 1
84.44, 1.147, 35
89.15, 1.098, 10